No. 1
This entry pairs a crystal structure of Cs6K2Rb3 with its computed powder X-ray diffraction pattern. Radiation: Cu Kα (weighted mean of Kα1 and Kα2). Structure: DFT lattice parameters and positions (PBE).
Kinematic intensities with the Lorentz-polarization factor, no thermal factor.

The 10 most intense peaks (2θ from 10° to 90°), low angle first:
Position (°2θ)	d/Å	intensity
18.9	4.701	58
19.0	4.660	33
20.8	4.275	47
21.1	4.205	100
21.7	4.097	36
22.0	4.045	39
22.2	4.004	53
22.4	3.970	30
33.1	2.706	29
38.3	2.348	27

a = 9.450 Å, b = 9.450 Å, c = 14.210 Å
α = 95.57°, β = 95.57°, γ = 62.98°
Fractional coordinates of all 11 atoms:
Cs  0.013  0.506  0.180
Cs  0.156  0.156  0.490
Cs  0.494  0.987  0.820
Cs  0.506  0.013  0.180
Cs  0.844  0.844  0.510
Cs  0.987  0.494  0.820
K  0.003  0.003  0.158
K  0.997  0.997  0.842
Rb  0.474  0.474  0.655
Rb  0.500  0.500  0.000
Rb  0.526  0.526  0.345



No. 2
This entry pairs a crystal structure of Cd2Fe3Cu10Sn5Se20 with its computed powder X-ray diffraction pattern. Radiation: Cu Kα (weighted mean of Kα1 and Kα2). Structure: DFT lattice parameters and positions (PBE).
Kinematic intensities with the Lorentz-polarization factor, no thermal factor.

The 10 most intense peaks (2θ from 10° to 90°), low angle first:
Position (°2θ)	d/Å	intensity
26.7	3.343	100
43.9	2.060	25
44.4	2.041	47
52.2	1.754	29
52.9	1.730	13
63.9	1.457	7
71.2	1.325	10
81.1	1.186	14
82.1	1.174	6
86.9	1.121	6

a = 21.382 Å, b = 7.048 Å, c = 21.011 Å
α = 83.42°, β = 19.11°, γ = 77.47°
Fractional coordinates of all 40 atoms:
Cd  0.200  0.800  0.200
Cd  0.800  0.200  0.800
Fe  0.000  0.000  0.000
Fe  0.400  0.597  0.403
Fe  0.597  0.400  0.600
Cu  0.049  0.451  0.050
Cu  0.150  0.351  0.145
Cu  0.251  0.251  0.249
Cu  0.351  0.150  0.354
Cu  0.451  0.049  0.451
Cu  0.549  0.950  0.549
Cu  0.646  0.855  0.649
Cu  0.751  0.751  0.749
Cu  0.855  0.646  0.850
Cu  0.950  0.549  0.951
Sn  0.099  0.905  0.095
Sn  0.304  0.698  0.302
Sn  0.500  0.500  0.500
Sn  0.698  0.304  0.696
Sn  0.905  0.099  0.901
Se  0.008  0.713  0.287
Se  0.090  0.201  0.307
Se  0.114  0.610  0.390
Se  0.201  0.090  0.402
Se  0.222  0.511  0.489
Se  0.302  0.960  0.502
Se  0.312  0.417  0.583
Se  0.363  0.901  0.637
Se  0.417  0.312  0.688
Se  0.498  0.763  0.698
Se  0.511  0.222  0.778
Se  0.598  0.693  0.799
Se  0.610  0.114  0.886
Se  0.693  0.598  0.910
Se  0.713  0.008  0.992
Se  0.763  0.498  0.040
Se  0.819  0.910  0.090
Se  0.901  0.363  0.099
Se  0.910  0.819  0.181
Se  0.960  0.302  0.237



No. 3
This entry pairs a crystal structure of Pm6YEr12 with its computed powder X-ray diffraction pattern. Radiation: Cu Kα (weighted mean of Kα1 and Kα2). Structure: DFT lattice parameters and positions (PBE).
Kinematic intensities with the Lorentz-polarization factor, no thermal factor.

The 10 most intense peaks (2θ from 10° to 90°), low angle first:
Position (°2θ)	d/Å	intensity
28.0	3.190	22
30.8	2.898	23
31.8	2.813	6
32.0	2.795	100
42.1	2.145	17
49.5	1.842	18
55.6	1.653	15
59.5	1.555	16
60.2	1.538	13
81.5	1.180	7

a = 8.620 Å, b = 8.620 Å, c = 8.620 Å
α = 79.73°, β = 79.73°, γ = 79.73°
Fractional coordinates of all 19 atoms:
Pm  0.267  0.267  0.665
Pm  0.267  0.665  0.267
Pm  0.335  0.733  0.733
Pm  0.665  0.267  0.267
Pm  0.733  0.335  0.733
Pm  0.733  0.733  0.335
Y  0.500  0.500  0.500
Er  0.014  0.014  0.696
Er  0.014  0.696  0.014
Er  0.015  0.363  0.363
Er  0.304  0.986  0.986
Er  0.363  0.015  0.363
Er  0.363  0.363  0.015
Er  0.637  0.637  0.985
Er  0.637  0.985  0.637
Er  0.696  0.014  0.014
Er  0.985  0.637  0.637
Er  0.986  0.304  0.986
Er  0.986  0.986  0.304



No. 4
This entry pairs a crystal structure of SmDyY2Ho2 with its computed powder X-ray diffraction pattern. Radiation: Cu Kα (weighted mean of Kα1 and Kα2). Structure: DFT lattice parameters and positions (PBE).
Kinematic intensities with the Lorentz-polarization factor, no thermal factor.

The 10 most intense peaks (2θ from 10° to 90°), low angle first:
Position (°2θ)	d/Å	intensity
16.8	5.262	43
26.7	3.338	31
29.1	3.065	100
30.2	2.962	81
30.3	2.948	80
31.3	2.855	58
33.2	2.697	30
34.1	2.631	84
36.0	2.494	54
41.3	2.188	57

a = 6.531 Å, b = 17.771 Å, c = 3.398 Å
α = 90.00°, β = 90.00°, γ = 90.00°
Fractional coordinates of all 12 atoms:
Sm  0.000  0.000  0.000
Sm  0.500  0.500  0.500
Dy  0.000  0.500  0.000
Dy  0.500  0.000  0.500
Y  0.225  0.186  0.000
Y  0.275  0.686  0.500
Y  0.725  0.314  0.500
Y  0.775  0.814  0.000
Ho  0.223  0.353  0.500
Ho  0.277  0.853  0.000
Ho  0.723  0.147  0.000
Ho  0.777  0.647  0.500



No. 5
This entry pairs a crystal structure of KLaSc with its computed powder X-ray diffraction pattern. Radiation: Cu Kα (weighted mean of Kα1 and Kα2). Structure: DFT lattice parameters and positions (PBE).
Kinematic intensities with the Lorentz-polarization factor, no thermal factor.

The 10 most intense peaks (2θ from 10° to 90°), low angle first:
Position (°2θ)	d/Å	intensity
18.0	4.915	17
27.2	3.276	20
27.6	3.236	19
30.5	2.933	100
35.6	2.519	24
41.3	2.184	13
42.4	2.134	13
50.2	1.818	8
54.2	1.693	20
63.4	1.466	9

a = 10.257 Å, b = 10.027 Å, c = 3.537 Å
α = 83.65°, β = 76.31°, γ = 20.04°
Fractional coordinates of all 3 atoms:
K  0.000  0.000  0.000
La  0.306  0.306  0.694
Sc  0.676  0.676  0.324



No. 6
This entry pairs a crystal structure of InCuTe3 with its computed powder X-ray diffraction pattern. Radiation: Cu Kα (weighted mean of Kα1 and Kα2). Structure: DFT lattice parameters and positions (PBE).
Kinematic intensities with the Lorentz-polarization factor, no thermal factor.

The 10 most intense peaks (2θ from 10° to 90°), low angle first:
Position (°2θ)	d/Å	intensity
20.3	4.369	28
22.3	3.988	100
28.5	3.129	28
29.2	3.054	89
35.1	2.556	32
41.6	2.171	59
42.9	2.108	26
43.9	2.062	32
45.6	1.989	23
49.8	1.831	26

a = 8.275 Å, b = 8.275 Å, c = 9.820 Å
α = 95.69°, β = 95.69°, γ = 28.87°
Fractional coordinates of all 10 atoms:
In  0.055  0.055  0.298
In  0.945  0.945  0.702
Cu  0.358  0.358  0.090
Cu  0.642  0.642  0.910
Te  0.123  0.123  0.740
Te  0.158  0.158  0.073
Te  0.362  0.362  0.551
Te  0.638  0.638  0.449
Te  0.842  0.842  0.927
Te  0.877  0.877  0.260



No. 7
This entry pairs a crystal structure of TmSnAu with its computed powder X-ray diffraction pattern. Radiation: Cu Kα (weighted mean of Kα1 and Kα2). Structure: DFT lattice parameters and positions (PBE).
Kinematic intensities with the Lorentz-polarization factor, no thermal factor.

The 10 most intense peaks (2θ from 10° to 90°), low angle first:
Position (°2θ)	d/Å	intensity
23.1	3.854	41
26.7	3.337	4
38.1	2.360	100
45.0	2.012	22
55.0	1.669	18
60.5	1.531	9
68.9	1.362	36
73.8	1.285	7
81.6	1.180	12
86.2	1.128	7

a = 4.720 Å, b = 4.720 Å, c = 4.720 Å
α = 60.00°, β = 60.00°, γ = 60.00°
Fractional coordinates of all 3 atoms:
Tm  0.000  0.000  0.000
Sn  0.500  0.500  0.500
Au  0.250  0.250  0.250



No. 8
This entry pairs a crystal structure of Cs12K6Pt with its computed powder X-ray diffraction pattern. Radiation: Cu Kα (weighted mean of Kα1 and Kα2). Structure: DFT lattice parameters and positions (PBE).
Kinematic intensities with the Lorentz-polarization factor, no thermal factor.

The 10 most intense peaks (2θ from 10° to 90°), low angle first:
Position (°2θ)	d/Å	intensity
11.6	7.655	61
14.7	6.014	87
17.9	4.953	36
22.1	4.030	100
23.4	3.802	28
23.9	3.727	44
24.0	3.705	61
29.7	3.006	27
38.6	2.334	38
39.7	2.270	38

a = 12.692 Å, b = 12.692 Å, c = 12.692 Å
α = 101.14°, β = 101.14°, γ = 101.14°
Fractional coordinates of all 19 atoms:
Cs  0.156  0.829  0.264
Cs  0.171  0.736  0.844
Cs  0.228  0.505  0.446
Cs  0.264  0.156  0.829
Cs  0.446  0.228  0.505
Cs  0.495  0.554  0.772
Cs  0.505  0.446  0.228
Cs  0.554  0.772  0.495
Cs  0.736  0.844  0.171
Cs  0.772  0.495  0.554
Cs  0.829  0.264  0.156
Cs  0.844  0.171  0.736
K  0.034  0.159  0.453
K  0.159  0.453  0.034
K  0.453  0.034  0.159
K  0.547  0.966  0.841
K  0.841  0.547  0.966
K  0.966  0.841  0.547
Pt  0.500  0.500  0.500



No. 9
This entry pairs a crystal structure of LaY3Mn4Si4 with its computed powder X-ray diffraction pattern. Radiation: Cu Kα (weighted mean of Kα1 and Kα2). Structure: DFT lattice parameters and positions (PBE).
Kinematic intensities with the Lorentz-polarization factor, no thermal factor.

The 10 most intense peaks (2θ from 10° to 90°), low angle first:
Position (°2θ)	d/Å	intensity
25.6	3.475	77
32.2	2.780	29
33.2	2.701	100
34.4	2.604	76
36.3	2.478	31
40.5	2.226	97
46.2	1.966	65
54.6	1.680	30
58.0	1.589	39
60.1	1.540	27

a = 3.931 Å, b = 3.931 Å, c = 14.867 Å
α = 90.00°, β = 90.00°, γ = 90.00°
Fractional coordinates of all 12 atoms:
La  0.000  0.000  0.000
Y  0.000  0.000  0.501
Y  0.500  0.500  0.184
Y  0.500  0.500  0.665
Mn  0.000  0.500  0.341
Mn  0.000  0.500  0.824
Mn  0.500  0.000  0.341
Mn  0.500  0.000  0.824
Si  0.000  0.000  0.246
Si  0.000  0.000  0.727
Si  0.500  0.500  0.439
Si  0.500  0.500  0.916



No. 10
This entry pairs a crystal structure of Ce5Cd2Ir2 with its computed powder X-ray diffraction pattern. Radiation: Cu Kα (weighted mean of Kα1 and Kα2). Structure: DFT lattice parameters and positions (PBE).
Kinematic intensities with the Lorentz-polarization factor, no thermal factor.

The 10 most intense peaks (2θ from 10° to 90°), low angle first:
Position (°2θ)	d/Å	intensity
20.0	4.443	43
29.1	3.065	27
29.2	3.054	53
31.4	2.848	36
33.1	2.707	26
33.8	2.649	47
34.7	2.586	23
35.6	2.522	100
37.2	2.419	92
40.6	2.223	54

a = 9.826 Å, b = 9.826 Å, c = 9.826 Å
α = 67.76°, β = 127.60°, γ = 140.20°
Fractional coordinates of all 18 atoms:
Ce  0.175  0.135  0.540
Ce  0.214  0.046  0.260
Ce  0.214  0.454  0.667
Ce  0.595  0.635  0.460
Ce  0.660  0.106  0.232
Ce  0.660  0.928  0.054
Ce  0.786  0.546  0.333
Ce  0.786  0.954  0.740
Ce  0.874  0.428  0.768
Ce  0.874  0.606  0.946
Cd  0.256  0.402  0.047
Cd  0.256  0.709  0.354
Cd  0.355  0.209  0.953
Cd  0.355  0.902  0.646
Ir  0.092  0.346  0.245
Ir  0.101  0.846  0.755
Ir  0.699  0.199  0.500
Ir  0.699  0.699  0.000



No. 11
This entry pairs a crystal structure of KRb2Na2 with its computed powder X-ray diffraction pattern. Radiation: Cu Kα (weighted mean of Kα1 and Kα2). Structure: DFT lattice parameters and positions (PBE).
Kinematic intensities with the Lorentz-polarization factor, no thermal factor.

The 10 most intense peaks (2θ from 10° to 90°), low angle first:
Position (°2θ)	d/Å	intensity
17.5	5.055	38
23.5	3.786	49
24.8	3.590	100
24.9	3.575	40
32.7	2.742	22
37.2	2.415	27
38.1	2.361	23
43.6	2.075	17
46.8	1.940	17
48.8	1.867	14

a = 11.304 Å, b = 11.304 Å, c = 5.098 Å
α = 90.00°, β = 90.00°, γ = 90.00°
Fractional coordinates of all 10 atoms:
K  0.000  0.000  0.000
K  0.500  0.500  0.000
Rb  0.175  0.325  0.500
Rb  0.325  0.825  0.500
Rb  0.675  0.175  0.500
Rb  0.825  0.675  0.500
Na  0.118  0.618  0.000
Na  0.382  0.118  0.000
Na  0.618  0.882  0.000
Na  0.882  0.382  0.000



No. 12
This entry pairs a crystal structure of Nd3Te2Ir with its computed powder X-ray diffraction pattern. Radiation: Cu Kα (weighted mean of Kα1 and Kα2). Structure: DFT lattice parameters and positions (PBE).
Kinematic intensities with the Lorentz-polarization factor, no thermal factor.

The 10 most intense peaks (2θ from 10° to 90°), low angle first:
Position (°2θ)	d/Å	intensity
12.6	7.036	14
28.4	3.146	54
28.6	3.120	100
40.2	2.244	18
40.7	2.215	74
41.6	2.171	17
49.9	1.827	18
51.1	1.786	20
66.6	1.405	15
67.0	1.398	14

a = 14.465 Å, b = 13.776 Å, c = 7.728 Å
α = 79.10°, β = 69.26°, γ = 31.64°
Fractional coordinates of all 24 atoms:
Nd  0.039  0.530  0.183
Nd  0.088  0.662  0.662
Nd  0.183  0.749  0.039
Nd  0.251  0.817  0.470
Nd  0.338  0.912  0.912
Nd  0.470  0.961  0.251
Nd  0.530  0.039  0.749
Nd  0.662  0.088  0.088
Nd  0.749  0.183  0.530
Nd  0.817  0.251  0.961
Nd  0.912  0.338  0.338
Nd  0.961  0.470  0.817
Te  0.129  0.129  0.621
Te  0.297  0.297  0.453
Te  0.379  0.379  0.871
Te  0.453  0.453  0.297
Te  0.547  0.547  0.703
Te  0.621  0.621  0.129
Te  0.703  0.703  0.547
Te  0.871  0.871  0.379
Ir  0.041  0.041  0.209
Ir  0.209  0.209  0.041
Ir  0.791  0.791  0.959
Ir  0.959  0.959  0.791